1.
This entry pairs a crystal structure of PmEr6Th4 with its theoretical powder X-ray diffraction pattern. Radiation: Cu Kα (weighted mean of Kα1 and Kα2). Structure: a structure optimized by DFT (GGA-PBE).

Principal peaks in the range 10° ≤ 2θ ≤ 80°, sorted by position:
2θ (°), intensity, h k l
27.1, 268, 1 0 3
29.0, 182, 1 0 5
30.6, 668, 0 2 0
31.6, 1000, 0 1 11
32.0, 151, 1 1 4
33.9, 364, 1 1 6
36.5, 442, 1 1 8
41.4, 177, 1 2 3
55.1, 202, 0 3 11
63.6, 263, 2 1 11

Crystal structure
Cell lengths 3.4195, 5.8368, 35.6544 Å; angles 90.00, 90.00, 90.00 degrees
Space group Immm (No. 71)
Asymmetric unit:
1 Pm 0.0000 0.0000 0.0000
2 Er 0.0000 0.5000 0.1315
3 Er 0.0000 0.5000 0.2330
4 Er 0.0000 0.5000 0.4031
5 Th 0.0000 0.0000 0.1824
6 Th 0.0000 0.0000 0.4554


2.
This entry pairs a crystal structure of Nd4Al12Pd with its theoretical powder X-ray diffraction pattern. Radiation: Cu Kα (weighted mean of Kα1 and Kα2). Structure: a structure optimized by DFT (GGA-PBE).

Principal peaks in the range 10° ≤ 2θ ≤ 80°, sorted by position:
2θ (°), intensity, h k l
20.1, 405, 2 0 0
28.6, 1000, 2 2 0
35.3, 652, 2 2 2
40.9, 522, 4 0 0
46.0, 230, 4 2 0
50.7, 375, 4 2 2
59.3, 328, 4 4 0
63.3, 117, 4 4 2
67.1, 207, 6 2 0
70.9, 222, 6 2 2

Crystal structure
Cell lengths 8.8195, 8.8195, 8.8195 Å; angles 90.00, 90.00, 90.00 degrees
Space group Im-3m (No. 229)
Asymmetric unit:
1 Nd 0.2500 0.2500 0.2500
2 Al 0.0000 0.0000 0.2929
3 Al 0.0000 0.2500 0.5000
4 Pd 0.0000 0.0000 0.0000


3.
This entry pairs a crystal structure of DyGa2F8 with its theoretical powder X-ray diffraction pattern. Radiation: Cu Kα (weighted mean of Kα1 and Kα2). Structure: a structure optimized by DFT (GGA-PBE).

Principal peaks in the range 10° ≤ 2θ ≤ 80°, sorted by position:
2θ (°), intensity, h k l
15.2, 285, 1 0 0
26.6, 1000, 1 1 0
26.8, 887, 1 0 1
34.7, 248, 1 1 1
38.1, 232, 2 0 1
46.9, 213, 3 0 0
47.0, 383, 2 1 1
47.5, 240, 0 1 2
54.7, 280, 2 2 0
55.2, 251, 2 0 2

Crystal structure
Cell lengths 6.7106, 6.7106, 4.0560 Å; angles 90.00, 90.00, 120.00 degrees
Space group P-3 (No. 147)
Asymmetric unit:
1 Dy 0.0000 0.0000 0.0000
2 Ga 0.3333 0.6667 0.7380
3 F 0.1660 0.3338 0.7401
4 F 0.3333 0.6667 0.2425


4.
This entry pairs a crystal structure of Na7Tl2Au2 with its theoretical powder X-ray diffraction pattern. Radiation: Cu Kα (weighted mean of Kα1 and Kα2). Structure: a structure optimized by DFT (GGA-PBE).

Principal peaks in the range 10° ≤ 2θ ≤ 80°, sorted by position:
2θ (°), intensity, h k l
11.8, 246, 1 1 0
18.5, 709, 2 0 -1
19.5, 271, 1 1 -1
23.4, 179, 3 1 0
23.8, 333, 2 2 0
33.6, 1000, 2 2 1
34.5, 232, 2 0 -2
34.6, 189, 4 2 0
43.2, 183, 2 4 -1
61.2, 178, 0 2 3

Crystal structure
Cell lengths 13.5213, 9.3190, 5.2047 Å; angles 90.00, 112.51, 90.00 degrees
Space group C2/m (No. 12)
Asymmetric unit:
1 Na 0.0000 0.0000 0.0000
2 Na 0.1394 0.2883 0.1390
3 Na 0.1502 0.0000 0.6511
4 Tl 0.1550 0.5000 0.6555
5 Au 0.0000 0.2572 0.5000


5.
This entry pairs a crystal structure of Tm8Te2C3 with its theoretical powder X-ray diffraction pattern. Radiation: Cu Kα (weighted mean of Kα1 and Kα2). Structure: a structure optimized by DFT (GGA-PBE).

Principal peaks in the range 10° ≤ 2θ ≤ 80°, sorted by position:
2θ (°), intensity, h k l
12.5, 250, 2 0 0
28.5, 214, 2 0 -2
28.9, 488, 0 2 1
33.2, 1000, 4 0 -2
35.0, 398, 2 0 2
35.9, 676, 4 2 -1
38.2, 334, 6 0 0
50.1, 312, 2 2 -3
51.0, 158, 0 4 0
64.2, 208, 4 2 3

Crystal structure
Cell lengths 14.6752, 7.1648, 6.3405 Å; angles 90.00, 105.71, 90.00 degrees
Space group C2/m (No. 12)
Asymmetric unit:
1 Tm 0.0899 0.0000 0.3880
2 Tm 0.0908 0.2452 0.8843
3 Tm 0.0914 0.5000 0.4124
4 Te 0.2487 0.5000 0.1891
5 C 0.0000 0.0000 0.0000
6 C 0.0000 0.2476 0.5000


6.
This entry pairs a crystal structure of TbHoBiTe with its theoretical powder X-ray diffraction pattern. Radiation: Cu Kα (weighted mean of Kα1 and Kα2). Structure: a structure optimized by DFT (GGA-PBE).

Principal peaks in the range 10° ≤ 2θ ≤ 80°, sorted by position:
2θ (°), intensity, h k l
14.2, 21, 0 0 1
20.1, 26, 1 0 0
28.6, 1000, 1 1 0
32.0, 14, 1 1 1
35.2, 14, 1 0 2
40.9, 772, 2 0 0
50.6, 278, 2 0 2
59.2, 131, 2 2 0
67.0, 362, 3 1 0
74.4, 269, 3 1 2

Crystal structure
Cell lengths 4.4166, 4.4166, 6.2409 Å; angles 90.00, 90.00, 90.00 degrees
Space group P4mm (No. 99)
Asymmetric unit:
1 Tb 0.0000 0.0000 0.0000
2 Ho 0.5000 0.5000 0.4984
3 Bi 0.5000 0.5000 0.9986
4 Te 0.0000 0.0000 0.4998